This entry pairs a crystal structure of LiFe4B4O12 with its simulated powder diffractogram. Radiation: Cu Kα. Structure: a crystal structure in Alexandria, relaxed with PBE+U.
Lines closer than 0.1° are merged.

Peak list (10 most intense, 10° ≤ 2θ ≤ 90°, in order of falling intensity)
index, 2θ (°), Rel. int.
1 1 -1, 21.25, 100
0 2 0, 19.59, 90
0 0 4, 35.13, 83
1 1 2, 26.25, 77
1 3 0, 34.17, 62
0 2 1, 21.44, 58
1 1 -2, 26.08, 56
1 1 0, 19.42, 51
2 2 1, 40.52, 46
1 1 -5, 48.69, 35

Structural model:
Lattice parameters (Å, degrees): 5.292 9.064 10.219 90.00 90.43 90.00
Space group P2_1 (No. 4)
Asymmetric unit:
Li (0.108, 0.000, 0.406)
Fe (0.092, 0.333, 0.373)
Fe (0.094, 0.647, 0.869)
Fe (0.403, 0.301, 0.627)
Fe (0.407, 0.645, 0.119)
B (0.083, 0.666, 0.376)
B (0.084, 0.309, 0.877)
B (0.410, 0.310, 0.124)
B (0.412, 0.635, 0.620)
O (0.004, 0.949, 0.125)
O (0.025, 0.036, 0.594)
O (0.035, 0.299, 0.590)
O (0.054, 0.692, 0.068)
O (0.170, 0.658, 0.671)
O (0.173, 0.283, 0.177)
O (0.316, 0.675, 0.312)
O (0.318, 0.273, 0.822)
O (0.451, 0.250, 0.437)
O (0.451, 0.688, 0.921)
O (0.477, 0.998, 0.375)
O (0.496, 0.948, 0.883)